This entry pairs a crystal structure of Hf2InPd2 with its calculated XRD peak list. Radiation: Cu Kα X-rays. Structure: the PBE geometry in the Materials Project.
No peak broadening, texture or thermal motion is included.

```
Hf2InPd2
1.0
7.5453 0.0000 0.0000
0.0000 7.5453 0.0000
0.0000 0.0000 6.7654
Hf In Pd
8 4 8
Direct
0.1540 0.1540 0.0000 Hf
0.1814 0.1814 0.5000 Hf
0.3186 0.6814 0.0000 Hf
0.3460 0.6540 0.5000 Hf
0.6540 0.3460 0.5000 Hf
0.6814 0.3186 0.0000 Hf
0.8186 0.8186 0.5000 Hf
0.8460 0.8460 0.0000 Hf
0.0000 0.5000 0.2500 In
0.0000 0.5000 0.7500 In
0.5000 0.0000 0.2500 In
0.5000 0.0000 0.7500 In
0.1296 0.8704 0.2772 Pd
0.1296 0.8704 0.7228 Pd
0.3704 0.3704 0.2228 Pd
0.3704 0.3704 0.7772 Pd
0.6296 0.6296 0.2228 Pd
0.6296 0.6296 0.7772 Pd
0.8704 0.1296 0.2772 Pd
0.8704 0.1296 0.7228 Pd
```

The 6 most intense peaks (10° ≤ 2θ ≤ 90°), most intense first:
2theta	I_rel	hkl
37.67	100	2 1 2
35.65	19	2 0 2
73.11	10	5 2 2
67.93	10	3 1 4
57.24	9	4 1 2
51.36	8	3 3 0